For LiMnSiO4, a crystal structure in Alexandria, relaxed with GGA+U gives the simulated PXRD pattern in this record (a wavelength of 1.5418 Å).
Intensities are scaled so that the largest is 100.

Cell and atoms:
a = 9.7092 Å, b = 6.9661 Å, c = 5.0947 Å
α = 90.00°, β = 90.00°, γ = 90.00°
Space group Pna2_1 (No. 33)
Inequivalent atoms, fractional coordinates:
Li 0.1820 0.0310 0.0000 [4 per cell]
Mn 0.1142 0.5293 0.9346 [4 per cell]
Si 0.0942 0.2384 0.5110 [4 per cell]
O 0.0716 0.8011 0.9669 [4 per cell]
O 0.0964 0.4618 0.3810 [4 per cell]
O 0.1335 0.2659 0.8224 [4 per cell]
O 0.1941 0.0815 0.3744 [4 per cell]

Largest 10 diffraction maxima, low angle first, 2θ from 10° to 80°:
2θ/deg  I_rel  h k l
15.7  100  1 1 0
21.6  80  0 1 1
22.3  24  2 1 0
23.5  54  1 1 1
25.3  24  2 0 1
35.2  58  0 0 2
36.3  29  2 2 1
37.0  33  4 0 0
38.8  20  1 1 2
39.9  19  1 3 0